No. 1
Starting from a crystal structure in the Materials Project, relaxed with PBE, the powder X-ray diffraction pattern of EuGe2Ir2 was computed for Cu Kα (weighted mean of Kα1 and Kα2).
Kinematic intensities with the Lorentz-polarization factor, no thermal factor.

Main lines, most intense first (2θ from 10° to 90°):
- 2θ 34.6, I = 100
- 2θ 43.1, I = 45
- 2θ 33.1, I = 27
- 2θ 16.7, I = 27
- 2θ 45.9, I = 23
- 2θ 73.5, I = 23
- 2θ 61.0, I = 20
- 2θ 62.5, I = 15
- 2θ 33.8, I = 14
- 2θ 55.8, I = 13
- 2θ 55.4, I = 12
- 2θ 86.9, I = 12

Cell and atoms:
```
EuGe2Ir2
1.0
-2.101 2.101 5.302
2.101 -2.101 5.302
2.101 2.101 -5.302
Eu Ge Ir
1 2 2
Direct
0.000 0.000 0.000
0.374 0.374 0.000
0.626 0.626 0.000
0.250 0.750 0.500
0.750 0.250 0.500
```

---

No. 2
Starting from a crystal structure in the Materials Project, relaxed with PBE, the powder X-ray diffraction pattern of Nb4GeSe8 was computed for Cu Kα (weighted mean of Kα1 and Kα2).
Kinematic intensities with the Lorentz-polarization factor, no thermal factor.

Main lines, most intense first (2θ from 10° to 90°):
- 2θ 39.2, I = 100
- 2θ 12.6, I = 59
- 2θ 52.2, I = 42
- 2θ 30.1, I = 40
- 2θ 35.2, I = 32
- 2θ 32.1, I = 24
- 2θ 43.9, I = 20
- 2θ 30.1, I = 20
- 2θ 76.9, I = 16
- 2θ 52.0, I = 15
- 2θ 67.1, I = 13
- 2θ 89.9, I = 13

Cell and atoms:
```
Nb4GeSe8
1.0
14.356 -1.757 0.000
14.356 1.757 0.000
-1.280 0.000 5.934
Nb Ge Se
4 1 8
Direct
0.128 0.128 0.138
0.371 0.371 0.380
0.629 0.629 0.620
0.872 0.872 0.862
0.500 0.500 0.500
0.069 0.069 0.739
0.186 0.186 0.855
0.312 0.312 0.645
0.433 0.433 0.769
0.567 0.567 0.231
0.688 0.688 0.355
0.814 0.814 0.145
0.931 0.931 0.261
```

---

No. 3
Starting from a crystal structure in the Materials Project, relaxed with PBE, the powder X-ray diffraction pattern of LiSiAg2 was computed for Cu Kα (weighted mean of Kα1 and Kα2).
Kinematic intensities with the Lorentz-polarization factor, no thermal factor.

Main lines, most intense first (2θ from 10° to 90°):
- 2θ 40.0, I = 100
- 2θ 24.2, I = 70
- 2θ 47.3, I = 34
- 2θ 72.6, I = 32
- 2θ 57.8, I = 16
- 2θ 63.6, I = 13
- 2θ 86.2, I = 10
- 2θ 77.8, I = 10
- 2θ 28.0, I = 1

Cell and atoms:
```
LiSiAg2
1.0
0.000 3.190 3.190
3.190 0.000 3.190
3.190 3.190 0.000
Li Si Ag
1 1 2
Direct
0.000 0.000 0.000
0.250 0.250 0.250
0.500 0.500 0.500
0.750 0.750 0.750
```

---

No. 4
Starting from a crystal structure in the Materials Project, relaxed with PBE, the powder X-ray diffraction pattern of HfCuO4F6 was computed for Cu Kα (weighted mean of Kα1 and Kα2).
Kinematic intensities with the Lorentz-polarization factor, no thermal factor.

Main lines, most intense first (2θ from 10° to 90°):
- 2θ 22.0, I = 100
- 2θ 23.9, I = 92
- 2θ 20.1, I = 53
- 2θ 36.3, I = 40
- 2θ 44.3, I = 40
- 2θ 15.9, I = 36
- 2θ 24.9, I = 34
- 2θ 32.2, I = 24
- 2θ 44.9, I = 22
- 2θ 39.2, I = 18
- 2θ 50.7, I = 17
- 2θ 16.5, I = 16

Cell and atoms:
```
HfCuO4F6
1.0
5.408 0.000 0.000
0.000 8.843 0.000
-0.765 0.000 7.165
Hf Cu O F
2 2 8 12
Direct
0.000 0.000 0.000
0.000 0.500 0.500
0.500 0.000 0.500
0.500 0.500 0.000
0.262 0.119 0.576
0.262 0.381 0.076
0.378 0.662 0.110
0.378 0.838 0.610
0.622 0.162 0.390
0.622 0.338 0.890
0.738 0.619 0.924
0.738 0.881 0.424
0.173 0.652 0.353
0.173 0.848 0.853
0.225 0.540 0.730
0.225 0.960 0.230
0.245 0.158 0.928
0.245 0.342 0.428
0.755 0.658 0.572
0.755 0.842 0.072
0.775 0.040 0.770
0.775 0.460 0.270
0.827 0.152 0.147
0.827 0.348 0.647
```

---

No. 5
Starting from a crystal structure in the Materials Project, relaxed with PBE, the powder X-ray diffraction pattern of PrCuSe2 was computed for Cu Kα (weighted mean of Kα1 and Kα2).
Kinematic intensities with the Lorentz-polarization factor, no thermal factor.

Main lines, most intense first (2θ from 10° to 90°):
- 2θ 30.4, I = 100
- 2θ 34.4, I = 74
- 2θ 29.2, I = 64
- 2θ 31.8, I = 60
- 2θ 22.4, I = 59
- 2θ 38.2, I = 38
- 2θ 39.4, I = 36
- 2θ 50.2, I = 35
- 2θ 45.5, I = 34
- 2θ 35.7, I = 31
- 2θ 38.7, I = 22
- 2θ 35.9, I = 22

Cell and atoms:
```
PrCuSe2
1.0
6.785 0.000 0.000
0.000 7.551 0.000
-0.839 0.000 7.200
Pr Cu Se
4 4 8
Direct
0.193 0.046 0.299
0.193 0.454 0.799
0.807 0.546 0.201
0.807 0.954 0.701
0.432 0.661 0.454
0.432 0.839 0.954
0.568 0.161 0.046
0.568 0.339 0.546
0.084 0.724 0.498
0.084 0.776 0.998
0.403 0.112 0.722
0.403 0.388 0.222
0.597 0.612 0.778
0.597 0.888 0.278
0.916 0.224 0.002
0.916 0.276 0.502
```

---

No. 6
Starting from a crystal structure in the Materials Project, relaxed with PBE, the powder X-ray diffraction pattern of CsTbNb6Br18 was computed for Cu Kα (weighted mean of Kα1 and Kα2).
Kinematic intensities with the Lorentz-polarization factor, no thermal factor.

Main lines, most intense first (2θ from 10° to 90°):
- 2θ 33.5, I = 100
- 2θ 30.9, I = 84
- 2θ 10.2, I = 73
- 2θ 14.0, I = 72
- 2θ 40.1, I = 46
- 2θ 29.0, I = 43
- 2θ 36.6, I = 42
- 2θ 34.0, I = 41
- 2θ 48.5, I = 39
- 2θ 20.2, I = 36
- 2θ 48.3, I = 34
- 2θ 48.0, I = 31

Cell and atoms:
```
CsTbNb6Br18
1.0
9.980 0.000 0.000
-4.990 8.643 0.000
0.000 0.000 18.627
Cs Tb Nb Br
2 2 12 36
Direct
0.333 0.667 0.250
0.667 0.333 0.750
0.333 0.667 0.750
0.667 0.333 0.250
0.038 0.188 0.935
0.038 0.851 0.565
0.149 0.188 0.565
0.149 0.962 0.935
0.188 0.038 0.435
0.188 0.149 0.065
0.812 0.851 0.935
0.812 0.962 0.565
0.851 0.038 0.065
0.851 0.812 0.435
0.962 0.149 0.435
0.962 0.812 0.065
0.046 0.231 0.159
0.046 0.815 0.341
0.085 0.448 0.839
0.085 0.637 0.661
0.139 0.414 0.499
0.139 0.725 0.001
0.185 0.231 0.341
0.185 0.954 0.159
0.231 0.046 0.659
0.231 0.185 0.841
0.275 0.414 0.001
0.275 0.861 0.499
0.363 0.448 0.661
0.363 0.915 0.839
0.414 0.139 0.999
0.414 0.275 0.501
0.448 0.085 0.339
0.448 0.363 0.161
0.552 0.637 0.839
0.552 0.915 0.661
0.586 0.725 0.499
0.586 0.861 0.001
0.637 0.085 0.161
0.637 0.552 0.339
0.725 0.139 0.501
0.725 0.586 0.999
0.769 0.815 0.159
0.769 0.954 0.341
0.815 0.046 0.841
0.815 0.769 0.659
0.861 0.275 0.999
0.861 0.586 0.501
0.915 0.363 0.339
0.915 0.552 0.161
0.954 0.185 0.659
0.954 0.769 0.841
```

---

No. 7
Starting from a crystal structure in the Materials Project, relaxed with PBE, the powder X-ray diffraction pattern of Mo3Os3C2 was computed for Cu Kα (weighted mean of Kα1 and Kα2).
Kinematic intensities with the Lorentz-polarization factor, no thermal factor.

Main lines, most intense first (2θ from 10° to 90°):
- 2θ 38.2, I = 100
- 2θ 44.4, I = 52
- 2θ 77.6, I = 32
- 2θ 64.6, I = 31
- 2θ 40.9, I = 12
- 2θ 48.6, I = 11
- 2θ 81.7, I = 10
- 2θ 84.8, I = 7
- 2θ 82.0, I = 7
- 2θ 70.8, I = 7
- 2θ 44.8, I = 7
- 2θ 36.5, I = 4

Cell and atoms:
```
Mo3Os3C2
1.0
2.886 0.000 0.000
-1.443 2.500 0.000
0.000 0.000 14.149
Mo Os C
3 3 2
Direct
0.000 0.000 0.000
0.333 0.667 0.812
0.667 0.333 0.188
0.000 0.000 0.500
0.333 0.667 0.347
0.667 0.333 0.653
0.333 0.667 0.098
0.667 0.333 0.902
```

---

No. 8
Starting from a crystal structure in the Materials Project, relaxed with PBE, the powder X-ray diffraction pattern of Cs8In2O7 was computed for Cu Kα (weighted mean of Kα1 and Kα2).
Kinematic intensities with the Lorentz-polarization factor, no thermal factor.

Main lines, most intense first (2θ from 10° to 90°):
- 2θ 27.0, I = 100
- 2θ 27.4, I = 48
- 2θ 33.3, I = 41
- 2θ 26.9, I = 25
- 2θ 27.6, I = 24
- 2θ 30.4, I = 16
- 2θ 31.1, I = 15
- 2θ 25.3, I = 15
- 2θ 48.2, I = 14
- 2θ 24.0, I = 12
- 2θ 44.1, I = 11
- 2θ 47.5, I = 11

Cell and atoms:
```
Cs8In2O7
1.0
7.567 0.000 0.000
0.000 19.148 0.000
-3.590 0.000 6.503
Cs In O
16 4 14
Direct
0.142 0.085 0.495
0.142 0.415 0.995
0.266 0.706 0.545
0.266 0.794 0.045
0.268 0.505 0.538
0.268 0.995 0.038
0.285 0.192 0.050
0.285 0.308 0.550
0.715 0.692 0.450
0.715 0.808 0.950
0.732 0.005 0.962
0.732 0.495 0.462
0.734 0.206 0.955
0.734 0.294 0.455
0.858 0.585 0.005
0.858 0.915 0.505
0.353 0.598 0.998
0.353 0.902 0.498
0.647 0.098 0.502
0.647 0.402 0.002
0.071 0.598 0.732
0.071 0.902 0.232
0.345 0.606 0.277
0.345 0.894 0.777
0.458 0.178 0.511
0.458 0.322 0.011
0.500 0.000 0.500
0.500 0.500 0.000
0.542 0.678 0.989
0.542 0.822 0.489
0.655 0.106 0.223
0.655 0.394 0.723
0.929 0.098 0.768
0.929 0.402 0.268
```

---

No. 9
Starting from a crystal structure in the Materials Project, relaxed with PBE, the powder X-ray diffraction pattern of NdGe was computed for Cu Kα (weighted mean of Kα1 and Kα2).
Kinematic intensities with the Lorentz-polarization factor, no thermal factor.

Main lines, most intense first (2θ from 10° to 90°):
- 2θ 30.7, I = 100
- 2θ 38.5, I = 56
- 2θ 31.3, I = 36
- 2θ 32.2, I = 30
- 2θ 40.1, I = 27
- 2θ 44.5, I = 20
- 2θ 27.1, I = 19
- 2θ 39.2, I = 15
- 2θ 61.4, I = 15
- 2θ 52.4, I = 15
- 2θ 55.4, I = 14
- 2θ 62.0, I = 14

Cell and atoms:
```
NdGe
1.0
2.248 -5.558 0.000
2.248 5.558 0.000
0.000 0.000 4.073
Nd Ge
2 2
Direct
0.138 0.862 0.750
0.862 0.138 0.250
0.419 0.581 0.750
0.581 0.419 0.250
```

---

No. 10
Starting from a crystal structure in the Materials Project, relaxed with PBE, the powder X-ray diffraction pattern of Mg5Zn was computed for Cu Kα (weighted mean of Kα1 and Kα2).
Kinematic intensities with the Lorentz-polarization factor, no thermal factor.

Main lines, most intense first (2θ from 10° to 90°):
- 2θ 37.6, I = 100
- 2θ 37.9, I = 48
- 2θ 11.0, I = 38
- 2θ 35.7, I = 38
- 2θ 32.9, I = 27
- 2θ 65.4, I = 18
- 2θ 71.2, I = 18
- 2θ 49.4, I = 17
- 2θ 20.8, I = 17
- 2θ 59.3, I = 16
- 2θ 71.9, I = 13
- 2θ 33.3, I = 13

Cell and atoms:
```
Mg5Zn
1.0
5.027 0.000 0.000
0.000 1.577 8.067
0.000 -1.577 8.067
Mg Zn
5 1
Direct
0.000 0.000 0.000
0.000 0.321 0.321
0.500 0.109 0.109
0.500 0.438 0.438
0.500 0.769 0.769
0.000 0.661 0.661
```

---

No. 11
Starting from a crystal structure in the Materials Project, relaxed with PBE, the powder X-ray diffraction pattern of Zn2SeS was computed for Cu Kα (weighted mean of Kα1 and Kα2).
Kinematic intensities with the Lorentz-polarization factor, no thermal factor.

Main lines, most intense first (2θ from 10° to 90°):
- 2θ 27.6, I = 100
- 2θ 45.9, I = 70
- 2θ 54.4, I = 42
- 2θ 84.9, I = 22
- 2θ 73.8, I = 16
- 2θ 66.9, I = 11
- 2θ 13.7, I = 5
- 2θ 26.4, I = 5
- 2θ 34.9, I = 4
- 2θ 41.9, I = 3
- 2θ 48.1, I = 2
- 2θ 63.9, I = 1

Cell and atoms:
```
Zn2SeS
1.0
1.979 1.143 6.463
-1.979 1.143 6.463
0.000 -2.285 6.463
Zn Se S
2 1 1
Direct
0.000 0.000 0.000
0.493 0.493 0.493
0.621 0.621 0.621
0.122 0.122 0.122
```